Starting from DFT lattice parameters and positions (PBE), the powder XRD pattern of FeHPb3 was calculated for a wavelength of 1.5418 Å.
Neutral-atom scattering factors, no anomalous dispersion.

Top 6 peaks for 2θ from 10° to 90°, sorted by position:
2θ/deg, I_rel
17.48, 64
30.53, 100
35.39, 75
39.74, 33
50.92, 54
60.54, 46

Crystal structure
```
FeHPb3
1.0
5.072 0.000 0.000
0.000 5.072 0.000
0.000 0.000 5.072
Fe H Pb
1 1 3
direct
0.000 0.000 0.000
0.500 0.500 0.500
0.000 0.000 0.500
0.000 0.500 0.000
0.500 0.000 0.000
```